Entry 1:
Structure and simulated powder XRD pattern of Tb8Nd5Cd (the PBE geometry in Alexandria; Cu Kα).
Kinematic intensities with the Lorentz-polarization factor, no thermal factor.

Most intense lines, 10 to 90 degrees two-theta, sorted by position:
(1 0 3), d = 3.154 Å, intensity 44
(1 3 0), d = 3.064 Å, intensity 100
(2 2 2), d = 2.824 Å, intensity 16
(2 1 3), d = 2.642 Å, intensity 66
(1 3 2), d = 2.611 Å, intensity 32
(2 3 1), d = 2.592 Å, intensity 33
(5 1 0), d = 1.899 Å, intensity 12
(5 0 3), d = 1.674 Å, intensity 17
(2 6 0), d = 1.530 Å, intensity 12
(1 3 6), d = 1.464 Å, intensity 17

Atomic structure:
```
data_Tb8Nd5Cd
_cell_length_a 9.676
_cell_length_b 9.676
_cell_length_c 10.009
_cell_angle_alpha 90.00
_cell_angle_beta 90.00
_cell_angle_gamma 90.00
_symmetry_space_group_name_H-M 'I -4'
_symmetry_Int_Tables_number 82
_symmetry_space_group_name_Hall 'I -4'
loop_
_atom_site_label
_atom_site_type_symbol
_atom_site_fract_x
_atom_site_fract_y
_atom_site_fract_z
Tb1 Tb 0.068 0.172 0.342
Tb2 Tb 0.085 0.309 0.005
Nd1 Nd 0.000 0.500 0.250
Nd2 Nd 0.100 0.289 0.670
Cd1 Cd 0.000 0.000 0.000
```

***

Entry 2:
Structure and simulated powder XRD pattern of Tb12Nd5Cd2 (the PBE geometry in Alexandria; Cu Kα).
Kinematic intensities with the Lorentz-polarization factor, no thermal factor.

Most intense lines, 10 to 90 degrees two-theta, sorted by position:
(0 2 2), d = 3.120 Å, intensity 37
(4 2 0), d = 2.982 Å, intensity 47
(2 2 -2), d = 2.928 Å, intensity 62
(1 3 -1), d = 2.867 Å, intensity 35
(1 3 1), d = 2.852 Å, intensity 49
(5 1 -1), d = 2.819 Å, intensity 100
(4 0 2), d = 2.795 Å, intensity 74
(1 1 -3), d = 2.665 Å, intensity 78
(3 3 1), d = 2.521 Å, intensity 56
(4 2 -2), d = 2.473 Å, intensity 42

Atomic structure:
```
data_Tb12Nd5Cd2
_cell_length_a 15.560
_cell_length_b 9.302
_cell_length_c 8.424
_cell_angle_alpha 90.00
_cell_angle_beta 92.48
_cell_angle_gamma 90.00
_symmetry_space_group_name_H-M 'C 1 2/m 1'
_symmetry_Int_Tables_number 12
_symmetry_space_group_name_Hall '-C 2y'
loop_
_atom_site_label
_atom_site_type_symbol
_atom_site_fract_x
_atom_site_fract_y
_atom_site_fract_z
Tb1 Tb 0.055 0.000 0.327
Tb2 Tb 0.076 0.500 0.880
Tb3 Tb 0.127 0.192 0.675
Tb4 Tb 0.144 0.317 0.237
Nd1 Nd 0.000 0.500 0.500
Nd2 Nd 0.202 0.000 0.018
Nd3 Nd 0.234 0.500 0.575
Cd1 Cd 0.000 0.172 0.000
```

***

Entry 3:
Structure and simulated powder XRD pattern of Tb3Nd6Cd (the PBE geometry in Alexandria; Cu Kα).
Kinematic intensities with the Lorentz-polarization factor, no thermal factor.

Most intense lines, 10 to 90 degrees two-theta, sorted by position:
(3 1 -1), d = 2.936 Å, intensity 100
(2 0 -4), d = 2.577 Å, intensity 17
(0 2 0), d = 2.569 Å, intensity 18
(4 0 2), d = 2.483 Å, intensity 15
(2 2 -4), d = 1.820 Å, intensity 12
(4 2 2), d = 1.786 Å, intensity 11
(5 1 -5), d = 1.548 Å, intensity 14
(3 3 -1), d = 1.545 Å, intensity 15
(7 1 1), d = 1.507 Å, intensity 12
(6 2 -2), d = 1.468 Å, intensity 12

Atomic structure:
```
data_Tb3Nd6Cd
_cell_length_a 11.195
_cell_length_b 5.138
_cell_length_c 11.440
_cell_angle_alpha 90.00
_cell_angle_beta 91.73
_cell_angle_gamma 90.00
_symmetry_space_group_name_H-M 'P 1 21/m 1'
_symmetry_Int_Tables_number 11
_symmetry_space_group_name_Hall '-P 2yb'
loop_
_atom_site_label
_atom_site_type_symbol
_atom_site_fract_x
_atom_site_fract_y
_atom_site_fract_z
Tb1 Tb 0.050 0.250 0.401
Tb2 Tb 0.152 0.750 0.207
Tb3 Tb 0.252 0.250 0.009
Nd1 Nd 0.050 0.750 0.898
Nd2 Nd 0.154 0.250 0.701
Nd3 Nd 0.262 0.750 0.506
Nd4 Nd 0.347 0.750 0.810
Nd5 Nd 0.360 0.250 0.315
Nd6 Nd 0.454 0.750 0.107
Cd1 Cd 0.449 0.250 0.605
```

***

Entry 4:
Structure and simulated powder XRD pattern of Tb2NdCd (the PBE geometry in Alexandria; Cu Kα).
Kinematic intensities with the Lorentz-polarization factor, no thermal factor.

Most intense lines, 10 to 90 degrees two-theta, sorted by position:
(1 1 1), d = 2.830 Å, intensity 100
(2 0 0), d = 2.451 Å, intensity 50
(2 2 0), d = 1.733 Å, intensity 35
(3 1 1), d = 1.478 Å, intensity 41
(2 2 2), d = 1.415 Å, intensity 12
(4 0 0), d = 1.226 Å, intensity 4
(0 0 4), d = 1.224 Å, intensity 2
(3 3 1), d = 1.125 Å, intensity 17
(4 2 0), d = 1.097 Å, intensity 11
(2 0 4), d = 1.095 Å, intensity 5

Atomic structure:
```
data_Tb2NdCd
_cell_length_a 4.905
_cell_length_b 4.905
_cell_length_c 4.896
_cell_angle_alpha 90.00
_cell_angle_beta 90.00
_cell_angle_gamma 90.00
_symmetry_space_group_name_H-M 'P 4/m m m'
_symmetry_Int_Tables_number 123
_symmetry_space_group_name_Hall '-P 4 2'
loop_
_atom_site_label
_atom_site_type_symbol
_atom_site_fract_x
_atom_site_fract_y
_atom_site_fract_z
Tb1 Tb 0.000 0.500 0.000
Nd1 Nd 0.000 0.000 0.500
Cd1 Cd 0.500 0.500 0.500
```

***

Entry 5:
Structure and simulated powder XRD pattern of Tb4Nd5Cd4 (the PBE geometry in Alexandria; Cu Kα).
Kinematic intensities with the Lorentz-polarization factor, no thermal factor.

Most intense lines, 10 to 90 degrees two-theta, sorted by position:
(3 0 1), d = 3.236 Å, intensity 13
(4 0 0), d = 3.077 Å, intensity 10
(3 2 1), d = 2.864 Å, intensity 100
(0 0 2), d = 2.631 Å, intensity 27
(4 1 1), d = 2.596 Å, intensity 14
(1 5 0), d = 2.414 Å, intensity 16
(1 5 2), d = 1.779 Å, intensity 13
(2 7 1), d = 1.610 Å, intensity 12
(3 2 3), d = 1.560 Å, intensity 16
(5 5 2), d = 1.452 Å, intensity 9

Atomic structure:
```
data_Tb4Nd5Cd4
_cell_length_a 12.308
_cell_length_b 12.308
_cell_length_c 5.263
_cell_angle_alpha 90.00
_cell_angle_beta 90.00
_cell_angle_gamma 90.00
_symmetry_space_group_name_H-M 'I 4/m'
_symmetry_Int_Tables_number 87
_symmetry_space_group_name_Hall '-I 4'
loop_
_atom_site_label
_atom_site_type_symbol
_atom_site_fract_x
_atom_site_fract_y
_atom_site_fract_z
Tb1 Tb 0.097 0.394 0.000
Nd1 Nd 0.000 0.000 0.000
Nd2 Nd 0.109 0.185 0.500
Cd1 Cd 0.100 0.760 0.000
```

***

Entry 6:
Structure and simulated powder XRD pattern of Tb5Nd6Cd (the PBE geometry in Alexandria; Cu Kα).
Kinematic intensities with the Lorentz-polarization factor, no thermal factor.

Most intense lines, 10 to 90 degrees two-theta, sorted by position:
(1 2 3), d = 2.927 Å, intensity 100
(0 0 6), d = 2.561 Å, intensity 17
(2 0 0), d = 2.546 Å, intensity 17
(0 4 0), d = 2.498 Å, intensity 16
(2 0 6), d = 1.806 Å, intensity 12
(0 4 6), d = 1.788 Å, intensity 12
(1 2 9), d = 1.540 Å, intensity 14
(3 2 3), d = 1.534 Å, intensity 14
(1 6 3), d = 1.512 Å, intensity 13
(2 4 6), d = 1.463 Å, intensity 12

Atomic structure:
```
data_Tb5Nd6Cd
_cell_length_a 5.093
_cell_length_b 9.992
_cell_length_c 15.364
_cell_angle_alpha 90.00
_cell_angle_beta 90.00
_cell_angle_gamma 90.00
_symmetry_space_group_name_H-M 'I m m m'
_symmetry_Int_Tables_number 71
_symmetry_space_group_name_Hall '-I 2 2'
loop_
_atom_site_label
_atom_site_type_symbol
_atom_site_fract_x
_atom_site_fract_y
_atom_site_fract_z
Tb1 Tb 0.000 0.000 0.000
Tb2 Tb 0.000 0.000 0.329
Tb3 Tb 0.000 0.500 0.336
Nd1 Nd 0.000 0.244 0.500
Nd2 Nd 0.000 0.255 0.165
Cd1 Cd 0.000 0.500 0.000
```

***

Entry 7:
Structure and simulated powder XRD pattern of Tb5Nd8Cd (the PBE geometry in Alexandria; Cu Kα).
Kinematic intensities with the Lorentz-polarization factor, no thermal factor.

Most intense lines, 10 to 90 degrees two-theta, sorted by position:
(2 2 0), d = 3.330 Å, intensity 82
(1 2 2), d = 3.259 Å, intensity 54
(1 -2 1), d = 2.819 Å, intensity 98
(1 0 -2), d = 2.793 Å, intensity 100
(3 1 2), d = 2.728 Å, intensity 62
(0 2 -2), d = 2.712 Å, intensity 24
(2 0 3), d = 2.661 Å, intensity 32
(2 0 -1), d = 2.630 Å, intensity 43
(4 4 2), d = 1.847 Å, intensity 25
(3 4 4), d = 1.694 Å, intensity 22

Atomic structure:
```
data_Tb5Nd8Cd
_cell_length_a 8.462
_cell_length_b 8.679
_cell_length_c 8.681
_cell_angle_alpha 77.34
_cell_angle_beta 60.85
_cell_angle_gamma 60.86
_symmetry_space_group_name_H-M 'P 1'
_symmetry_Int_Tables_number 1
_symmetry_space_group_name_Hall 'P 1'
loop_
_atom_site_label
_atom_site_type_symbol
_atom_site_fract_x
_atom_site_fract_y
_atom_site_fract_z
Tb1 Tb 0.000 0.000 0.000
Tb2 Tb 0.000 0.369 0.631
Tb3 Tb 0.013 0.989 0.620
Tb4 Tb 0.447 0.184 0.815
Tb5 Tb 0.622 0.380 0.010
Nd1 Nd 0.127 0.522 0.153
Nd2 Nd 0.316 0.525 0.475
Nd3 Nd 0.316 0.844 0.156
Nd4 Nd 0.451 0.649 0.731
Nd5 Nd 0.452 0.100 0.279
Nd6 Nd 0.803 0.846 0.477
Nd7 Nd 0.830 0.269 0.352
Nd8 Nd 0.831 0.720 0.900
Cd1 Cd 0.636 0.684 0.315
```

***

Entry 8:
Structure and simulated powder XRD pattern of Tb6Nd2Cd (the PBE geometry in Alexandria; Cu Kα).
Kinematic intensities with the Lorentz-polarization factor, no thermal factor.

Most intense lines, 10 to 90 degrees two-theta, sorted by position:
(0 0 3), d = 3.132 Å, intensity 13
(1 2 0), d = 3.110 Å, intensity 16
(1 2 -3), d = 3.097 Å, intensity 17
(2 -2 0), d = 2.814 Å, intensity 46
(1 -1 3), d = 2.736 Å, intensity 100
(0 3 -3), d = 2.727 Å, intensity 31
(2 1 0), d = 2.709 Å, intensity 31
(2 1 -3), d = 2.699 Å, intensity 30
(1 -4 3), d = 2.096 Å, intensity 15
(3 -3 3), d = 1.609 Å, intensity 13

Atomic structure:
```
data_Tb6Nd2Cd
_cell_length_a 6.625
_cell_length_b 9.155
_cell_length_c 10.795
_cell_angle_alpha 112.86
_cell_angle_beta 105.03
_cell_angle_gamma 96.08
_symmetry_space_group_name_H-M 'P -1'
_symmetry_Int_Tables_number 2
_symmetry_space_group_name_Hall '-P 1'
loop_
_atom_site_label
_atom_site_type_symbol
_atom_site_fract_x
_atom_site_fract_y
_atom_site_fract_z
Tb1 Tb 0.032 0.307 0.440
Tb2 Tb 0.062 0.310 0.116
Tb3 Tb 0.278 0.029 0.557
Tb4 Tb 0.281 0.024 0.888
Tb5 Tb 0.395 0.640 0.110
Tb6 Tb 0.408 0.634 0.439
Nd1 Nd 0.047 0.310 0.770
Nd2 Nd 0.279 0.042 0.231
Cd1 Cd 0.388 0.638 0.779
```

***

Entry 9:
Structure and simulated powder XRD pattern of TbNd4Cd3 (the PBE geometry in Alexandria; Cu Kα).
Kinematic intensities with the Lorentz-polarization factor, no thermal factor.

Most intense lines, 10 to 90 degrees two-theta, sorted by position:
(0 0 4), d = 2.811 Å, intensity 26
(0 2 0), d = 2.782 Å, intensity 26
(1 1 2), d = 2.743 Å, intensity 100
(0 2 4), d = 1.977 Å, intensity 19
(1 1 6), d = 1.609 Å, intensity 19
(1 3 2), d = 1.598 Å, intensity 19
(2 0 4), d = 1.576 Å, intensity 9
(2 2 0), d = 1.571 Å, intensity 9
(2 2 4), d = 1.371 Å, intensity 11
(0 4 4), d = 1.246 Å, intensity 12

Atomic structure:
```
data_TbNd4Cd3
_cell_length_a 3.807
_cell_length_b 5.564
_cell_length_c 11.244
_cell_angle_alpha 90.00
_cell_angle_beta 90.00
_cell_angle_gamma 90.00
_symmetry_space_group_name_H-M 'P m m m'
_symmetry_Int_Tables_number 47
_symmetry_space_group_name_Hall '-P 2 2'
loop_
_atom_site_label
_atom_site_type_symbol
_atom_site_fract_x
_atom_site_fract_y
_atom_site_fract_z
Tb1 Tb 0.000 0.000 0.000
Nd1 Nd 0.500 0.000 0.262
Nd2 Nd 0.500 0.500 0.000
Nd3 Nd 0.500 0.500 0.500
Cd1 Cd 0.000 0.000 0.500
Cd2 Cd 0.000 0.500 0.247
```

***

Entry 10:
Structure and simulated powder XRD pattern of Tb2Nd5Cd (the PBE geometry in Alexandria; Cu Kα).
Kinematic intensities with the Lorentz-polarization factor, no thermal factor.

Most intense lines, 10 to 90 degrees two-theta, sorted by position:
(2 0 2), d = 2.917 Å, intensity 100
(2 2 0), d = 2.542 Å, intensity 34
(0 0 4), d = 2.496 Å, intensity 16
(4 0 0), d = 1.797 Å, intensity 12
(2 2 4), d = 1.781 Å, intensity 24
(4 2 2), d = 1.530 Å, intensity 29
(2 0 6), d = 1.510 Å, intensity 14
(4 0 4), d = 1.459 Å, intensity 12
(6 0 2), d = 1.165 Å, intensity 6
(4 2 6), d = 1.156 Å, intensity 12

Atomic structure:
```
data_Tb2Nd5Cd
_cell_length_a 7.190
_cell_length_b 7.190
_cell_length_c 9.983
_cell_angle_alpha 90.00
_cell_angle_beta 90.00
_cell_angle_gamma 90.00
_symmetry_space_group_name_H-M 'I -4 2 m'
_symmetry_Int_Tables_number 121
_symmetry_space_group_name_Hall 'I -4 2'
loop_
_atom_site_label
_atom_site_type_symbol
_atom_site_fract_x
_atom_site_fract_y
_atom_site_fract_z
Tb1 Tb 0.000 0.500 0.000
Nd1 Nd 0.000 0.000 0.000
Nd2 Nd 0.249 0.249 0.750
Cd1 Cd 0.000 0.000 0.500
```

***

Entry 11:
Structure and simulated powder XRD pattern of Tb4Nd5Cd (the PBE geometry in Alexandria; Cu Kα).
Kinematic intensities with the Lorentz-polarization factor, no thermal factor.

Most intense lines, 10 to 90 degrees two-theta, sorted by position:
(1 0 5), d = 2.928 Å, intensity 100
(1 1 0), d = 2.582 Å, intensity 38
(0 0 10), d = 2.452 Å, intensity 13
(2 0 0), d = 1.825 Å, intensity 13
(1 1 10), d = 1.778 Å, intensity 19
(2 1 5), d = 1.549 Å, intensity 30
(1 0 15), d = 1.492 Å, intensity 8
(2 0 10), d = 1.464 Å, intensity 10
(3 0 5), d = 1.181 Å, intensity 6
(3 1 0), d = 1.155 Å, intensity 16

Atomic structure:
```
data_Tb4Nd5Cd
_cell_length_a 3.651
_cell_length_b 3.651
_cell_length_c 24.516
_cell_angle_alpha 90.00
_cell_angle_beta 90.00
_cell_angle_gamma 90.00
_symmetry_space_group_name_H-M 'P 4/m m m'
_symmetry_Int_Tables_number 123
_symmetry_space_group_name_Hall '-P 4 2'
loop_
_atom_site_label
_atom_site_type_symbol
_atom_site_fract_x
_atom_site_fract_y
_atom_site_fract_z
Tb1 Tb 0.000 0.000 0.103
Tb2 Tb 0.000 0.000 0.310
Nd1 Nd 0.500 0.500 0.000
Nd2 Nd 0.500 0.500 0.206
Nd3 Nd 0.500 0.500 0.413
Cd1 Cd 0.000 0.000 0.500
```

***

Entry 12:
Structure and simulated powder XRD pattern of Nd3CdTe2 (the PBE geometry in Alexandria; Cu Kα).
Kinematic intensities with the Lorentz-polarization factor, no thermal factor.

Most intense lines, 10 to 90 degrees two-theta, sorted by position:
(1 0 3), d = 3.175 Å, intensity 100
(0 0 6), d = 2.304 Å, intensity 14
(1 2 3), d = 2.246 Å, intensity 51
(2 0 0), d = 2.188 Å, intensity 12
(0 2 6), d = 1.866 Å, intensity 14
(2 2 0), d = 1.802 Å, intensity 13
(2 0 6), d = 1.587 Å, intensity 8
(1 4 3), d = 1.421 Å, intensity 12
(2 2 6), d = 1.420 Å, intensity 12
(1 2 9), d = 1.319 Å, intensity 9

Atomic structure:
```
data_Nd3CdTe2
_cell_length_a 4.376
_cell_length_b 6.358
_cell_length_c 13.826
_cell_angle_alpha 90.00
_cell_angle_beta 90.00
_cell_angle_gamma 90.00
_symmetry_space_group_name_H-M 'I m m m'
_symmetry_Int_Tables_number 71
_symmetry_space_group_name_Hall '-I 2 2'
loop_
_atom_site_label
_atom_site_type_symbol
_atom_site_fract_x
_atom_site_fract_y
_atom_site_fract_z
Nd1 Nd 0.000 0.000 0.000
Nd2 Nd 0.000 0.000 0.330
Cd1 Cd 0.000 0.500 0.000
Te1 Te 0.000 0.500 0.334
```

***

Entry 13:
Structure and simulated powder XRD pattern of NdThCd14 (the PBE geometry in Alexandria; Cu Kα).
Kinematic intensities with the Lorentz-polarization factor, no thermal factor.

Most intense lines, 10 to 90 degrees two-theta, sorted by position:
(2 0 1), d = 3.134 Å, intensity 2
(2 0 2), d = 2.634 Å, intensity 100
(2 2 0), d = 2.388 Å, intensity 38
(0 0 4), d = 2.104 Å, intensity 12
(4 0 0), d = 1.688 Å, intensity 13
(2 2 4), d = 1.579 Å, intensity 19
(4 2 2), d = 1.421 Å, intensity 28
(4 0 4), d = 1.317 Å, intensity 10
(2 0 6), d = 1.295 Å, intensity 9
(4 4 0), d = 1.194 Å, intensity 4

Atomic structure:
```
data_NdThCd14
_cell_length_a 6.753
_cell_length_b 6.753
_cell_length_c 8.417
_cell_angle_alpha 90.00
_cell_angle_beta 90.00
_cell_angle_gamma 90.00
_symmetry_space_group_name_H-M 'P 4/m m m'
_symmetry_Int_Tables_number 123
_symmetry_space_group_name_Hall '-P 4 2'
loop_
_atom_site_label
_atom_site_type_symbol
_atom_site_fract_x
_atom_site_fract_y
_atom_site_fract_z
Nd1 Nd 0.000 0.000 0.000
Th1 Th 0.500 0.500 0.000
Cd1 Cd 0.000 0.000 0.500
Cd2 Cd 0.000 0.500 0.000
Cd3 Cd 0.000 0.500 0.500
Cd4 Cd 0.249 0.249 0.265
Cd5 Cd 0.500 0.500 0.500
```